Entry 1:
SmPd3S4: simulated powder diffraction line list (Cu Kα (weighted mean of Kα1 and Kα2)), based on a crystal structure in Alexandria, relaxed with PBE.
Neutral-atom scattering factors, no anomalous dispersion.

Crystal structure
```
SmPd3S4
1.0
6.7361 0.0000 0.0000
0.0000 6.7361 0.0000
0.0000 0.0000 6.7361
Sm Pd S
2 6 8
Direct
0.0000 0.0000 0.0000
0.5000 0.5000 0.5000
0.0000 0.2500 0.5000
0.0000 0.7500 0.5000
0.2500 0.5000 0.0000
0.5000 0.0000 0.2500
0.5000 0.0000 0.7500
0.7500 0.5000 0.0000
0.2500 0.2500 0.2500
0.2500 0.2500 0.7500
0.2500 0.7500 0.2500
0.2500 0.7500 0.7500
0.7500 0.2500 0.2500
0.7500 0.2500 0.7500
0.7500 0.7500 0.2500
0.7500 0.7500 0.7500
```

The 6 most intense peaks (5° ≤ 2θ ≤ 70°), by intensity:
2.750 Å, I 100
3.012 Å, I 91
1.800 Å, I 57
1.684 Å, I 31
1.868 Å, I 22
1.470 Å, I 20

***

Entry 2:
Sm8Te4PdS3: simulated powder diffraction line list (Cu Kα (weighted mean of Kα1 and Kα2)), based on a crystal structure in Alexandria, relaxed with PBE.
Neutral-atom scattering factors, no anomalous dispersion.

Crystal structure
```
Sm8Te4PdS3
1.0
4.2078 2.4294 7.1214
-4.2078 2.4294 7.1214
0.0000 -4.8588 7.1214
Sm Te Pd S
8 4 1 3
Direct
0.2352 0.7401 0.7401
0.2355 0.2355 0.2355
0.2599 0.2599 0.7648
0.2599 0.7648 0.2599
0.7401 0.2352 0.7401
0.7401 0.7401 0.2352
0.7645 0.7645 0.7645
0.7648 0.2599 0.2599
0.0000 0.0000 0.0000
0.0000 0.5000 0.5000
0.5000 0.0000 0.5000
0.5000 0.5000 0.0000
0.5000 0.5000 0.5000
0.0000 0.0000 0.5000
0.0000 0.5000 0.0000
0.5000 0.0000 0.0000
```

The 6 most intense peaks (5° ≤ 2θ ≤ 70°), by intensity:
3.010 Å, I 100
2.104 Å, I 38
2.154 Å, I 32
1.724 Å, I 19
2.773 Å, I 13
1.359 Å, I 10

***

Entry 3:
Sn3Pd2S3: simulated powder diffraction line list (Cu Kα (weighted mean of Kα1 and Kα2)), based on a crystal structure in Alexandria, relaxed with PBE.
Neutral-atom scattering factors, no anomalous dispersion.

Crystal structure
```
Sn3Pd2S3
1.0
6.4005 3.6953 5.1561
-6.4005 3.6953 5.1561
0.0000 -7.3907 5.1561
Sn Pd S
12 8 12
Direct
0.0022 0.1430 0.6541
0.1430 0.6541 0.0022
0.1535 0.5018 0.3586
0.3459 0.9978 0.8570
0.3586 0.1535 0.5018
0.4982 0.6414 0.8465
0.5018 0.3586 0.1535
0.6414 0.8465 0.4982
0.6541 0.0022 0.1430
0.8465 0.4982 0.6414
0.8570 0.3459 0.9978
0.9978 0.8570 0.3459
0.2402 0.7428 0.7412
0.2443 0.2443 0.2443
0.2572 0.2589 0.7598
0.2589 0.7598 0.2572
0.7412 0.2402 0.7428
0.7428 0.7412 0.2402
0.7557 0.7557 0.7557
0.7598 0.2572 0.2589
0.0066 0.1461 0.3565
0.1441 0.4944 0.6469
0.1461 0.3565 0.0066
0.3531 0.8559 0.5056
0.3565 0.0066 0.1461
0.4944 0.6469 0.1441
0.5056 0.3531 0.8559
0.6435 0.9934 0.8539
0.6469 0.1441 0.4944
0.8539 0.6435 0.9934
0.8559 0.5056 0.3531
0.9934 0.8539 0.6435
```

The 6 most intense peaks (5° ≤ 2θ ≤ 70°), by intensity:
2.857 Å, I 100
2.842 Å, I 97
2.022 Å, I 73
2.008 Å, I 67
4.505 Å, I 55
3.016 Å, I 45

***

Entry 4:
U3SnPd4S12: simulated powder diffraction line list (Cu Kα (weighted mean of Kα1 and Kα2)), based on a crystal structure in Alexandria, relaxed with PBE.
Neutral-atom scattering factors, no anomalous dispersion.

Crystal structure
```
U3SnPd4S12
1.0
6.6668 3.8491 3.2255
-6.6668 3.8491 3.2255
0.0000 -7.6982 3.2255
U Sn Pd S
3 1 4 12
Direct
0.0000 0.5636 0.4364
0.4364 0.0000 0.5636
0.5636 0.4364 0.0000
0.0000 0.0000 0.0000
0.0900 0.5000 0.9100
0.5000 0.5000 0.5000
0.5000 0.9100 0.0900
0.9100 0.0900 0.5000
0.0240 0.6833 0.7630
0.0888 0.9112 0.5000
0.2370 0.3167 0.9760
0.3167 0.9760 0.2370
0.3325 0.6675 0.5000
0.5000 0.0888 0.9112
0.5000 0.3325 0.6675
0.6675 0.5000 0.3325
0.6833 0.7630 0.0240
0.7630 0.0240 0.6833
0.9112 0.5000 0.0888
0.9760 0.2370 0.3167
```

The 6 most intense peaks (5° ≤ 2θ ≤ 70°), by intensity:
3.708 Å, I 100
3.979 Å, I 60
3.040 Å, I 40
1.849 Å, I 32
2.322 Å, I 31
2.671 Å, I 30